1.
Calculated powder diffraction line list of Nd3CSe for CuKα, from the PBE geometry in Alexandria.
No peak broadening, texture or thermal motion is included.

Most intense lines, 10 to 90 degrees two-theta, in order of rising 2θ:
2θ 25.2, rel. 341, (4 0 0)
2θ 27.0, rel. 317, (0 0 2)
2θ 27.4, rel. 792, (1 3 -1)
2θ 31.8, rel. 771, (3 3 -1)
2θ 32.1, rel. 442, (2 0 2)
2θ 33.5, rel. 585, (4 0 -2)
2θ 34.9, rel. 1000, (3 3 1)
2θ 38.3, rel. 304, (6 0 0)
2θ 47.3, rel. 462, (1 3 -3)
2θ 63.4, rel. 283, (6 6 0)

```
data_Nd3CSe
_chemical_formula_sum 'Nd24 C8 Se8'
_cell_length_a 14.376
_cell_length_b 11.281
_cell_length_c 6.720
_cell_angle_alpha 90.00
_cell_angle_beta 101.03
_cell_angle_gamma 90.00
_symmetry_space_group_name_H-M 'C 1 2/c 1'
_symmetry_Int_Tables_number 15
loop_
_symmetry_equiv_pos_as_xyz
'x,y,z'
'-x,-y,-z'
'-x,y,-z+1/2'
'x,-y,z+1/2'
'x+1/2,y+1/2,z'
'-x+1/2,-y+1/2,-z'
'-x+1/2,y+1/2,-z+1/2'
'x+1/2,-y+1/2,z+1/2'
loop_
_atom_site_label
_atom_site_type_symbol
_atom_site_fract_x
_atom_site_fract_y
_atom_site_fract_z
Nd1 Nd 0.097 0.247 0.465
Nd2 Nd 0.101 0.078 0.953
Nd3 Nd 0.102 0.416 0.928
C1 C 0.000 0.085 0.250
C2 C 0.000 0.251 0.750
Se1 Se 0.247 0.401 0.312
```

---

2.
Calculated powder diffraction line list of CaMg6Cd12 for CuKα, from the PBE geometry in Alexandria.
No peak broadening, texture or thermal motion is included.

Most intense lines, 10 to 90 degrees two-theta, in order of rising 2θ:
2θ 19.4, rel. 666, (0 1 2)
2θ 30.1, rel. 443, (1 1 3)
2θ 30.4, rel. 1000, (1 3 1)
2θ 36.2, rel. 521, (0 3 3)
2θ 36.5, rel. 404, (3 2 1)
2θ 37.2, rel. 150, (4 1 0)
2θ 39.4, rel. 203, (0 2 4)
2θ 39.7, rel. 248, (2 3 2)
2θ 44.2, rel. 154, (2 4 1)
2θ 44.7, rel. 412, (5 0 2)

```
data_CaMg6Cd12
_chemical_formula_sum 'Ca3 Mg18 Cd36'
_cell_length_a 12.7981
_cell_length_b 12.7981
_cell_length_c 10.0401
_cell_angle_alpha 90.00
_cell_angle_beta 90.00
_cell_angle_gamma 120.00
_symmetry_space_group_name_H-M 'R -3 m'
_symmetry_Int_Tables_number 166
_symmetry_space_group_name_Hall '-R 3 2"'
loop_
_atom_site_label
_atom_site_type_symbol
_atom_site_fract_x
_atom_site_fract_y
_atom_site_fract_z
Ca1 Ca 0.0000 0.0000 0.0000
Mg1 Mg 0.0656 0.5328 0.2307
Cd1 Cd 0.0000 0.3889 0.5000
Cd2 Cd 0.0817 0.1634 0.2810
```

---

3.
Calculated powder diffraction line list of SrSc2In for CuKα, from the PBE geometry in Alexandria.
No peak broadening, texture or thermal motion is included.

Most intense lines, 10 to 90 degrees two-theta, in order of rising 2θ:
2θ 15.7, rel. 456, (0 2 0)
2θ 31.3, rel. 616, (2 0 -1)
2θ 31.7, rel. 593, (0 4 0)
2θ 33.8, rel. 1000, (2 2 0)
2θ 34.2, rel. 967, (0 2 1)
2θ 45.2, rel. 429, (2 4 -1)
2θ 57.0, rel. 208, (4 2 -1)
2θ 57.8, rel. 397, (2 6 0)
2θ 58.1, rel. 196, (0 6 1)
2θ 62.4, rel. 157, (2 4 1)

```
data_SrSc2In
_chemical_formula_sum 'Sr2 Sc4 In2'
_cell_length_a 6.755
_cell_length_b 11.278
_cell_length_c 3.328
_cell_angle_alpha 90.00
_cell_angle_beta 117.04
_cell_angle_gamma 90.00
_symmetry_space_group_name_H-M 'C 1 2/m 1'
_symmetry_Int_Tables_number 12
loop_
_symmetry_equiv_pos_as_xyz
'x,y,z'
'-x,-y,-z'
'-x,y,-z'
'x,-y,z'
'x+1/2,y+1/2,z'
'-x+1/2,-y+1/2,-z'
'-x+1/2,y+1/2,-z'
'x+1/2,-y+1/2,z'
loop_
_atom_site_label
_atom_site_type_symbol
_atom_site_fract_x
_atom_site_fract_y
_atom_site_fract_z
Sr1 Sr 0.000 0.000 0.000
Sc1 Sc 0.250 0.250 0.500
In1 In 0.000 0.500 0.000
```

---

4.
Calculated powder diffraction line list of SiAgPdF6 for CuKα, from the PBE geometry in Alexandria.
No peak broadening, texture or thermal motion is included.

Most intense lines, 10 to 90 degrees two-theta, in order of rising 2θ:
2θ 26.0, rel. 1000, (1 1 1)
2θ 31.3, rel. 355, (2 0 0)
2θ 36.4, rel. 78, (2 2 0)
2θ 41.1, rel. 187, (0 4 1)
2θ 41.2, rel. 92, (2 2 1)
2θ 42.1, rel. 94, (0 2 2)
2θ 49.8, rel. 264, (1 3 -2)
2θ 52.6, rel. 198, (2 4 -1)
2θ 52.7, rel. 99, (3 1 1)
2θ 61.3, rel. 81, (1 1 3)

```
data_SiAgPdF6
_chemical_formula_sum 'Si2 Ag2 Pd2 F12'
_cell_length_a 5.698
_cell_length_b 9.902
_cell_length_c 4.766
_cell_angle_alpha 90.00
_cell_angle_beta 90.10
_cell_angle_gamma 90.00
_symmetry_space_group_name_H-M 'C 1 2 1'
_symmetry_Int_Tables_number 5
loop_
_symmetry_equiv_pos_as_xyz
'x,y,z'
'-x,y,-z'
'x+1/2,y+1/2,z'
'-x+1/2,y+1/2,-z'
loop_
_atom_site_label
_atom_site_type_symbol
_atom_site_fract_x
_atom_site_fract_y
_atom_site_fract_z
Si1 Si 0.000 0.000 0.000
Ag1 Ag 0.000 0.333 0.500
Pd1 Pd 0.000 0.667 0.000
F1 F 0.121 0.124 0.792
F2 F 0.126 0.878 0.792
F3 F 0.248 0.998 0.208
```

---

5.
Calculated powder diffraction line list of Ac2PmPrSm for CuKα, from the PBE geometry in Alexandria.
No peak broadening, texture or thermal motion is included.

Most intense lines, 10 to 90 degrees two-theta, in order of rising 2θ:
2θ 18.8, rel. 151, (1 0 1)
2θ 27.4, rel. 1000, (2 0 0)
2θ 27.7, rel. 210, (0 1 2)
2θ 31.0, rel. 190, (1 1 2)
2θ 32.1, rel. 162, (2 1 1)
2θ 32.7, rel. 179, (0 2 2)
2θ 35.6, rel. 247, (1 3 1)
2θ 38.1, rel. 153, (2 0 2)
2θ 43.2, rel. 165, (2 3 1)
2θ 48.6, rel. 169, (3 2 1)

```
data_Ac2PmPrSm
_chemical_formula_sum 'Ac4 Pm2 Pr2 Sm2'
_cell_length_a 6.488
_cell_length_b 8.957
_cell_length_c 6.905
_cell_angle_alpha 90.00
_cell_angle_beta 90.00
_cell_angle_gamma 90.00
_symmetry_space_group_name_H-M 'P m m a'
_symmetry_Int_Tables_number 51
loop_
_symmetry_equiv_pos_as_xyz
'x,y,z'
'-x,-y,-z'
'-x+1/2,-y,z'
'x+1/2,y,-z'
'x+1/2,-y,-z'
'-x+1/2,y,z'
'-x,y,-z'
'x,-y,z'
loop_
_atom_site_label
_atom_site_type_symbol
_atom_site_fract_x
_atom_site_fract_y
_atom_site_fract_z
Ac1 Ac 0.250 0.203 0.204
Pm1 Pm 0.250 0.000 0.671
Pr1 Pr 0.250 0.500 0.916
Sm1 Sm 0.000 0.500 0.500
```

---

6.
Calculated powder diffraction line list of LiPmPt2O8 for CuKα, from the PBE geometry in Alexandria.
No peak broadening, texture or thermal motion is included.

Most intense lines, 10 to 90 degrees two-theta, in order of rising 2θ:
2θ 15.4, rel. 288, (0 0 1)
2θ 25.0, rel. 1000, (0 1 1)
2θ 31.1, rel. 155, (0 0 2)
2θ 34.1, rel. 569, (1 1 0)
2θ 42.7, rel. 270, (2 0 1)
2θ 46.8, rel. 419, (2 -1 2)
2θ 51.7, rel. 199, (0 1 3)
2θ 55.8, rel. 231, (3 -2 1)
2θ 61.1, rel. 154, (3 0 0)
2θ 74.1, rel. 157, (1 2 3)

```
data_LiPmPt2O8
_chemical_formula_sum 'Li1 Pm1 Pt2 O8'
_cell_length_a 5.2545
_cell_length_b 5.2545
_cell_length_c 5.7506
_cell_angle_alpha 90.00
_cell_angle_beta 90.00
_cell_angle_gamma 120.00
_symmetry_space_group_name_H-M 'P -3'
_symmetry_Int_Tables_number 147
loop_
_symmetry_equiv_pos_as_xyz
'x,y,z'
'-x,-y,-z'
'-y,x-y,z'
'y,-x+y,-z'
'-x+y,-x,z'
'x-y,x,-z'
loop_
_atom_site_label
_atom_site_type_symbol
_atom_site_fract_x
_atom_site_fract_y
_atom_site_fract_z
Li1 Li 0.0000 0.0000 0.0000
Pm1 Pm 0.0000 0.0000 0.5000
Pt1 Pt 0.3333 0.6667 0.9484
O1 O 0.0504 0.3567 0.1659
O2 O 0.3333 0.6667 0.5993
```

---

7.
Calculated powder diffraction line list of Te7As5I for CuKα, from the PBE geometry in Alexandria.
No peak broadening, texture or thermal motion is included.

Most intense lines, 10 to 90 degrees two-theta, in order of rising 2θ:
2θ 23.2, rel. 147, (1 0 -2)
2θ 28.0, rel. 812, (1 -2 1)
2θ 28.4, rel. 933, (0 1 2)
2θ 29.2, rel. 1000, (2 1 -1)
2θ 37.4, rel. 267, (1 -1 3)
2θ 38.2, rel. 324, (2 0 -3)
2θ 40.9, rel. 548, (3 -1 0)
2θ 43.0, rel. 248, (-1 3 1)
2θ 44.0, rel. 327, (2 2 1)
2θ 50.6, rel. 147, (3 0 2)

```
data_Te7As5I
_chemical_formula_sum 'Te7 As5 I1'
_cell_length_a 6.919
_cell_length_b 7.323
_cell_length_c 8.493
_cell_angle_alpha 104.64
_cell_angle_beta 101.31
_cell_angle_gamma 92.78
_symmetry_space_group_name_H-M 'P 1'
_symmetry_Int_Tables_number 1
loop_
_symmetry_equiv_pos_as_xyz
'x,y,z'
loop_
_atom_site_label
_atom_site_type_symbol
_atom_site_fract_x
_atom_site_fract_y
_atom_site_fract_z
Te1 Te 0.000 0.000 0.000
Te2 Te 0.021 0.332 0.386
Te3 Te 0.244 0.688 0.136
Te4 Te 0.460 0.401 0.272
Te5 Te 0.546 0.606 0.744
Te6 Te 0.694 0.098 0.422
Te7 Te 0.750 0.328 0.888
As1 As 0.151 0.499 0.808
As2 As 0.396 0.143 0.968
As3 As 0.598 0.894 0.083
As4 As 0.830 0.549 0.209
As5 As 0.952 0.739 0.708
I1 I 0.310 0.939 0.571
```

---

8.
Calculated powder diffraction line list of Ga2Fe4Ni for CuKα, from the PBE geometry in Alexandria.
No peak broadening, texture or thermal motion is included.

Most intense lines, 10 to 90 degrees two-theta, in order of rising 2θ:
2θ 32.5, rel. 23, (1 0 4)
2θ 36.0, rel. 7, (0 1 5)
2θ 44.0, rel. 1000, (1 0 7)
2θ 44.8, rel. 968, (1 1 0)
2θ 63.4, rel. 11, (0 1 11)
2θ 64.6, rel. 294, (0 2 7)
2θ 80.5, rel. 143, (0 1 14)
2θ 80.9, rel. 5, (2 0 11)
2θ 82.0, rel. 286, (2 1 7)
2θ 82.5, rel. 143, (3 0 0)

```
data_Ga2Fe4Ni
_chemical_formula_sum 'Ga6 Fe12 Ni3'
_cell_length_a 4.0490
_cell_length_b 4.0490
_cell_length_c 17.7719
_cell_angle_alpha 90.00
_cell_angle_beta 90.00
_cell_angle_gamma 120.00
_symmetry_space_group_name_H-M 'R -3 m'
_symmetry_Int_Tables_number 166
_symmetry_space_group_name_Hall '-R 3 2"'
loop_
_atom_site_label
_atom_site_type_symbol
_atom_site_fract_x
_atom_site_fract_y
_atom_site_fract_z
Ga1 Ga 0.0000 0.0000 0.2181
Fe1 Fe 0.0000 0.0000 0.0676
Fe2 Fe 0.0000 0.0000 0.3585
Ni1 Ni 0.0000 0.0000 0.5000
```

---

What did the second record say?
Calculated powder diffraction line list of CaMg6Cd12 for CuKα, from the PBE geometry in Alexandria.
No peak broadening, texture or thermal motion is included.

Most intense lines, 10 to 90 degrees two-theta, in order of rising 2θ:
2θ 19.4, rel. 666, (0 1 2)
2θ 30.1, rel. 443, (1 1 3)
2θ 30.4, rel. 1000, (1 3 1)
2θ 36.2, rel. 521, (0 3 3)
2θ 36.5, rel. 404, (3 2 1)
2θ 37.2, rel. 150, (4 1 0)
2θ 39.4, rel. 203, (0 2 4)
2θ 39.7, rel. 248, (2 3 2)
2θ 44.2, rel. 154, (2 4 1)
2θ 44.7, rel. 412, (5 0 2)

```
data_CaMg6Cd12
_chemical_formula_sum 'Ca3 Mg18 Cd36'
_cell_length_a 12.7981
_cell_length_b 12.7981
_cell_length_c 10.0401
_cell_angle_alpha 90.00
_cell_angle_beta 90.00
_cell_angle_gamma 120.00
_symmetry_space_group_name_H-M 'R -3 m'
_symmetry_Int_Tables_number 166
_symmetry_space_group_name_Hall '-R 3 2"'
loop_
_atom_site_label
_atom_site_type_symbol
_atom_site_fract_x
_atom_site_fract_y
_atom_site_fract_z
Ca1 Ca 0.0000 0.0000 0.0000
Mg1 Mg 0.0656 0.5328 0.2307
Cd1 Cd 0.0000 0.3889 0.5000
Cd2 Cd 0.0817 0.1634 0.2810
```